Structure and computed X-ray diffraction stick pattern of Mg2W3O8 (a cell relaxed with PBE+U; Cu Kα (λ = 1.5418 Å)).
No peak broadening, texture or thermal motion is included.

Largest 6 diffraction maxima, sorted by position, 2θ = 5–70°:
2θ = 18.68°, d = 4.750 Å, I 35
2θ = 18.84°, d = 4.711 Å, I 82
2θ = 33.98°, d = 2.638 Å, I 100
2θ = 43.76°, d = 2.069 Å, I 43
2θ = 59.47°, d = 1.554 Å, I 25
2θ = 61.64°, d = 1.505 Å, I 24

Structural model:
a b c (Å): 6.351 6.351 9.421
angles (deg): 90.00 90.00 120.00
Element x y z (fractional)
Mg (0.333, 0.667, 0.000)
Mg (0.333, 0.667, 0.382)
Mg (0.667, 0.333, 0.500)
Mg (0.667, 0.333, 0.882)
W (0.164, 0.329, 0.713)
W (0.164, 0.836, 0.713)
W (0.329, 0.164, 0.213)
W (0.671, 0.836, 0.713)
W (0.836, 0.164, 0.213)
W (0.836, 0.671, 0.213)
O (0.000, 0.000, 0.326)
O (0.000, 0.000, 0.826)
O (0.040, 0.520, 0.839)
O (0.169, 0.338, 0.116)
O (0.169, 0.831, 0.116)
O (0.333, 0.667, 0.594)
O (0.338, 0.169, 0.616)
O (0.480, 0.520, 0.839)
O (0.480, 0.960, 0.839)
O (0.520, 0.040, 0.339)
O (0.520, 0.480, 0.339)
O (0.662, 0.831, 0.116)
O (0.667, 0.333, 0.094)
O (0.831, 0.169, 0.616)
O (0.831, 0.662, 0.616)
O (0.960, 0.480, 0.339)